(1)
Fe2PO5: calculated XRD peak list (copper Kα), based on a DFT-relaxed cell (PBE+U, the Materials Project).

Most intense lines, 10 to 90 degrees two-theta, most intense first:
26.8°, rel. 1000; 26.9°, rel. 996; 27.2°, rel. 545; 56.1°, rel. 358; 47.4°, rel. 357; 43.1°, rel. 329

Crystal structure
a b c (Å): 7.3729 7.3729 5.4581
angles (deg): 111.57 111.57 42.94
Fractional coordinates of all 16 atoms:
Fe 0.0000 0.0000 0.0000
Fe 0.0000 0.0000 0.5000
Fe 0.0000 0.5000 0.0000
Fe 0.5000 0.0000 0.0000
P 0.3744 0.3744 0.6270
P 0.6256 0.6256 0.3730
O 0.1251 0.1251 0.8908
O 0.2037 0.6807 0.7025
O 0.3008 0.3008 0.7809
O 0.3133 0.3133 0.3207
O 0.3193 0.7963 0.2975
O 0.6807 0.2037 0.7025
O 0.6867 0.6867 0.6793
O 0.6992 0.6992 0.2191
O 0.7963 0.3193 0.2975
O 0.8749 0.8749 0.1092


(2)
BaV2ZnO7: calculated XRD peak list (copper Kα), based on a DFT-relaxed cell (PBE+U, the Materials Project).

Most intense lines, 10 to 90 degrees two-theta, most intense first:
29.2°, rel. 1000; 28.2°, rel. 950; 32.2°, rel. 522; 37.0°, rel. 431; 30.6°, rel. 361; 29.3°, rel. 343

Crystal structure
a b c (Å): 15.4286 5.5639 7.5557
angles (deg): 90.00 90.00 90.00
Fractional coordinates of all 44 atoms:
Ba 0.2102 0.2500 0.1473
Ba 0.2898 0.7500 0.6473
Ba 0.7102 0.2500 0.3527
Ba 0.7898 0.7500 0.8527
V 0.0565 0.7500 0.3056
V 0.1406 0.2500 0.6725
V 0.3594 0.7500 0.1725
V 0.4435 0.2500 0.8056
V 0.5565 0.7500 0.1944
V 0.6406 0.2500 0.8275
V 0.8594 0.7500 0.3275
V 0.9435 0.2500 0.6944
Zn 0.0477 0.7500 0.8509
Zn 0.4523 0.2500 0.3509
Zn 0.5477 0.7500 0.6491
Zn 0.9523 0.2500 0.1491
O 0.0387 0.2500 0.5514
O 0.0500 0.0020 0.1688
O 0.0500 0.4980 0.1688
O 0.1436 0.5024 0.8080
O 0.1436 0.9976 0.8080
O 0.1509 0.7500 0.4185
O 0.2295 0.2500 0.5411
O 0.2705 0.7500 0.0411
O 0.3491 0.2500 0.9185
O 0.3564 0.0024 0.3080
O 0.3564 0.4976 0.3080
O 0.4500 0.5020 0.6688
O 0.4500 0.9980 0.6688
O 0.4613 0.7500 0.0514
O 0.5387 0.2500 0.9486
O 0.5500 0.0020 0.3312
O 0.5500 0.4980 0.3312
O 0.6436 0.5024 0.6920
O 0.6436 0.9976 0.6920
O 0.6509 0.7500 0.0815
O 0.7295 0.2500 0.9589
O 0.7705 0.7500 0.4589
O 0.8491 0.2500 0.5815
O 0.8564 0.0024 0.1920
O 0.8564 0.4976 0.1920
O 0.9500 0.5020 0.8312
O 0.9500 0.9980 0.8312
O 0.9613 0.7500 0.4486


(3)
Li2Mn2CrO6: calculated XRD peak list (copper Kα), based on a DFT-relaxed cell (PBE+U, the Materials Project).

Most intense lines, 10 to 90 degrees two-theta, most intense first:
17.3°, rel. 1000; 44.2°, rel. 313; 36.2°, rel. 255; 57.6°, rel. 176; 38.6°, rel. 167; 62.6°, rel. 154

Crystal structure
a b c (Å): 5.1175 5.1175 10.2589
angles (deg): 90.00 90.00 118.50
Fractional coordinates of all 22 atoms:
Li 0.1195 0.1195 0.0000
Li 0.3673 0.3673 0.5000
Li 0.6327 0.6327 0.0000
Li 0.8805 0.8805 0.5000
Mn 0.0848 0.9152 0.2500
Mn 0.4117 0.5883 0.2500
Mn 0.5883 0.4117 0.7500
Mn 0.9152 0.0848 0.7500
Cr 0.2477 0.7523 0.7500
Cr 0.7523 0.2477 0.2500
O 0.0626 0.2073 0.3602
O 0.0827 0.5881 0.1546
O 0.2073 0.0626 0.6398
O 0.2523 0.4070 0.8503
O 0.4070 0.2523 0.1497
O 0.4119 0.9173 0.3454
O 0.5881 0.0827 0.8454
O 0.5930 0.7477 0.6497
O 0.7477 0.5930 0.3503
O 0.7927 0.9374 0.1398
O 0.9173 0.4119 0.6546
O 0.9374 0.7927 0.8602


(4)
Ba2LaWO6: calculated XRD peak list (copper Kα), based on a DFT-relaxed cell (PBE+U, the Materials Project).

Most intense lines, 10 to 90 degrees two-theta, most intense first:
28.9°, rel. 1000; 51.2°, rel. 425; 41.3°, rel. 275; 82.6°, rel. 224; 67.8°, rel. 186; 59.8°, rel. 172

Crystal structure
a b c (Å): 8.7436 8.7436 8.7436
angles (deg): 90.00 90.00 90.00
Fractional coordinates of all 40 atoms:
Ba 0.2500 0.2500 0.2500
Ba 0.2500 0.2500 0.7500
Ba 0.2500 0.7500 0.2500
Ba 0.2500 0.7500 0.7500
Ba 0.7500 0.2500 0.2500
Ba 0.7500 0.2500 0.7500
Ba 0.7500 0.7500 0.2500
Ba 0.7500 0.7500 0.7500
La 0.0000 0.0000 0.0000
La 0.0000 0.5000 0.5000
La 0.5000 0.0000 0.5000
La 0.5000 0.5000 0.0000
W 0.0000 0.0000 0.5000
W 0.0000 0.5000 0.0000
W 0.5000 0.0000 0.0000
W 0.5000 0.5000 0.5000
O 0.0232 0.2293 0.5255
O 0.0232 0.2707 0.9745
O 0.0255 0.5232 0.7707
O 0.0255 0.9768 0.7293
O 0.2293 0.5255 0.0232
O 0.2293 0.9745 0.4768
O 0.2707 0.5255 0.4768
O 0.2707 0.9745 0.0232
O 0.4745 0.5232 0.7293
O 0.4745 0.9768 0.7707
O 0.4768 0.2293 0.9745
O 0.4768 0.2707 0.5255
O 0.5232 0.7293 0.4745
O 0.5232 0.7707 0.0255
O 0.5255 0.0232 0.2293
O 0.5255 0.4768 0.2707
O 0.7293 0.0255 0.9768
O 0.7293 0.4745 0.5232
O 0.7707 0.0255 0.5232
O 0.7707 0.4745 0.9768
O 0.9745 0.0232 0.2707
O 0.9745 0.4768 0.2293
O 0.9768 0.7293 0.0255
O 0.9768 0.7707 0.4745


(5)
Co11B4SbO20: calculated XRD peak list (copper Kα), based on a DFT-relaxed cell (PBE+U, the Materials Project).

Most intense lines, 10 to 90 degrees two-theta, most intense first:
34.5°, rel. 1000; 33.3°, rel. 720; 16.5°, rel. 594; 44.3°, rel. 524; 36.0°, rel. 500; 33.2°, rel. 365

Crystal structure
a b c (Å): 6.2638 6.2638 11.7076
angles (deg): 110.11 110.11 59.67
Fractional coordinates of all 36 atoms:
Co 0.0000 0.0000 0.0000
Co 0.0000 0.0000 0.5000
Co 0.0000 0.5000 0.5000
Co 0.2198 0.7180 0.2183
Co 0.2503 0.2503 0.9985
Co 0.2820 0.7802 0.7817
Co 0.5000 0.0000 0.5000
Co 0.5000 0.5000 0.0000
Co 0.7180 0.2198 0.2183
Co 0.7497 0.7497 0.0015
Co 0.7802 0.2820 0.7817
B 0.2362 0.2362 0.2577
B 0.2641 0.2641 0.7375
B 0.7359 0.7359 0.2625
B 0.7638 0.7638 0.7423
Sb 0.5000 0.5000 0.5000
O 0.0993 0.0993 0.2013
O 0.1359 0.6389 0.0287
O 0.1777 0.1777 0.7987
O 0.2112 0.2112 0.6065
O 0.2177 0.6906 0.5915
O 0.2943 0.2943 0.3912
O 0.3094 0.7823 0.4085
O 0.3216 0.3216 0.1977
O 0.3611 0.8641 0.9713
O 0.4023 0.4023 0.8021
O 0.5977 0.5977 0.1979
O 0.6389 0.1359 0.0287
O 0.6784 0.6784 0.8023
O 0.6906 0.2177 0.5915
O 0.7057 0.7057 0.6088
O 0.7823 0.3094 0.4085
O 0.7888 0.7888 0.3935
O 0.8223 0.8223 0.2013
O 0.8641 0.3611 0.9713
O 0.9007 0.9007 0.7987


(6)
HfMnF6: calculated XRD peak list (copper Kα), based on a DFT-relaxed cell (PBE+U, the Materials Project).

Most intense lines, 10 to 90 degrees two-theta, most intense first:
21.4°, rel. 1000; 49.1°, rel. 412; 30.5°, rel. 403; 18.5°, rel. 372; 43.7°, rel. 241; 35.9°, rel. 196

Crystal structure
a b c (Å): 5.8627 5.8627 5.8627
angles (deg): 60.00 60.00 60.00
Fractional coordinates of all 8 atoms:
Hf 0.0000 0.0000 0.0000
Mn 0.5000 0.5000 0.5000
F 0.2423 0.2423 0.7577
F 0.2423 0.7577 0.2423
F 0.2423 0.7577 0.7577
F 0.7577 0.2423 0.2423
F 0.7577 0.2423 0.7577
F 0.7577 0.7577 0.2423


(7)
Mn2F5: calculated XRD peak list (copper Kα), based on a DFT-relaxed cell (PBE+U, the Materials Project).

Most intense lines, 10 to 90 degrees two-theta, most intense first:
18.9°, rel. 1000; 24.1°, rel. 369; 33.0°, rel. 196; 49.0°, rel. 171; 49.8°, rel. 162; 49.5°, rel. 139

Crystal structure
a b c (Å): 6.0876 6.0876 7.9792
angles (deg): 110.14 110.14 51.69
Fractional coordinates of all 14 atoms:
Mn 0.0963 0.1395 0.2039
Mn 0.1395 0.0963 0.7039
Mn 0.8605 0.9037 0.2961
Mn 0.9037 0.8605 0.7961
F 0.0470 0.5093 0.3115
F 0.0640 0.7914 0.0701
F 0.2086 0.9360 0.4299
F 0.2762 0.7238 0.7500
F 0.4907 0.9530 0.1885
F 0.5093 0.0470 0.8115
F 0.7238 0.2762 0.2500
F 0.7914 0.0640 0.5701
F 0.9360 0.2086 0.9299
F 0.9530 0.4907 0.6885